This entry pairs a crystal structure of Ta3NbV4O20 with its computed powder diffraction line list. Radiation: Cu Kα, 1.54184 Å. Structure: DFT lattice parameters and positions (PBE+U).

Cell lengths 7.0689, 5.6214, 12.0696 Å; angles 90.00, 90.06, 90.00 degrees
Element x y z (fractional)
1 Ta 0.0000 0.0000 0.0000
2 Ta 0.1832 0.0000 0.5014
3 Ta 0.4969 0.5000 0.6182
4 Nb 0.6864 0.5000 0.1180
5 V 0.3096 0.5000 0.9047
6 V 0.3688 0.0000 0.2145
7 V 0.8095 0.0000 0.7140
8 V 0.8697 0.5000 0.4063
9 O 0.0172 0.0000 0.6363
10 O 0.1608 0.0000 0.1350
11 O 0.1792 0.2489 0.9353
12 O 0.1792 0.7511 0.9353
13 O 0.3095 0.0000 0.3567
14 O 0.3396 0.2500 0.5602
15 O 0.3396 0.7500 0.5602
16 O 0.3682 0.5000 0.7635
17 O 0.4979 0.2496 0.1841
18 O 0.4979 0.7504 0.1841
19 O 0.5159 0.5000 0.9829
20 O 0.6611 0.5000 0.4836
21 O 0.6797 0.2509 0.6831
22 O 0.6797 0.7491 0.6831
23 O 0.8132 0.5000 0.2643
24 O 0.8400 0.2492 0.0591
25 O 0.8400 0.7508 0.0591
26 O 0.8671 0.0000 0.8558
27 O 0.9989 0.2493 0.4374
28 O 0.9989 0.7507 0.4374

Main lines, sorted by position (5° ≤ 2θ ≤ 70°):
2θ/deg, Rel. int.
14.68, 65
19.34, 77
20.18, 100
21.50, 80
25.05, 69
30.79, 64